Starting from a GGA-PBE-relaxed structure, the XRD peak list of Tm2BeGeC was calculated for Cu Kα (λ = 1.5418 Å).

Principal peaks in the range 15 to 90 degrees two-theta, sorted by position:
index, 2θ (°), intensity
1 1 0, 28.5, 61
2 0 0, 29.9, 49
1 0 2, 31.9, 22
2 0 -2, 32.1, 27
0 1 2, 34.2, 100
0 0 3, 36.1, 21
2 1 0, 38.8, 23
2 2 0, 58.9, 21

Structure:
Cell lengths 6.2821, 3.6804, 7.8543 Å; angles 90.00, 107.93, 90.00 degrees
Sites, in units of the cell vectors:
Tm: 0.1979 0.2500 0.3844
Tm: 0.2140 0.2500 0.9675
Tm: 0.7860 0.7500 0.0325
Tm: 0.8021 0.7500 0.6156
Be: 0.4548 0.7500 0.2465
Be: 0.5452 0.2500 0.7535
Ge: 0.3198 0.7500 0.6999
Ge: 0.6802 0.2500 0.3001
C: 0.1736 0.7500 0.1734
C: 0.8264 0.2500 0.8266